Diffraction record for NpH2I4. The powder XRD pattern is computed, not measured: it uses a crystal structure in Alexandria, relaxed with GGA-PBE and Cu Kα, 1.54184 Å.

Main lines, in order of rising 2θ (2θ = 10–90°):
2θ = 10.88°, d 8.133, I 95; 2θ = 11.58°, d 7.642, I 79; 2θ = 15.69°, d 5.647, I 43; 2θ = 25.09°, d 3.550, I 100; 2θ = 26.76°, d 3.331, I 96; 2θ = 26.96°, d 3.307, I 79; 2θ = 41.28°, d 2.187, I 39; 2θ = 44.13°, d 2.052, I 51

Structural model:
abc: 4.104 7.648 8.137
angles: 91.55 90.91 91.46
Space group P-1 (No. 2)
One atom of each set of equivalent atoms:
Np1 0.000 0.000 0.000 (multiplicity 1)
H1 0.491 0.757 0.681 (multiplicity 2)
I1 0.030 0.753 0.676 (multiplicity 2)
I2 0.494 0.756 0.160 (multiplicity 2)